EuBPt4: theoretical X-ray diffraction stick pattern (Cu Kα (weighted mean of Kα1 and Kα2)), based on a crystal structure in the Materials Project, relaxed with PBE.

Atomic structure:
```
data_EuBPt4
_chemical_formula_sum 'Eu2 B2 Pt8'
_cell_length_a 5.5809
_cell_length_b 5.5809
_cell_length_c 7.6483
_cell_angle_alpha 90.00
_cell_angle_beta 90.00
_cell_angle_gamma 120.00
_symmetry_space_group_name_H-M 'P 6/m m m'
_symmetry_Int_Tables_number 191
_symmetry_space_group_name_Hall '-P 6 2'
loop_
_atom_site_label
_atom_site_type_symbol
_atom_site_fract_x
_atom_site_fract_y
_atom_site_fract_z
_atom_site_occupancy
Eu1 Eu 0.0000 0.0000 0.0000 1
Eu2 Eu 0.0000 0.0000 0.5000 1
B1 B 0.3333 0.6667 0.0000 1
Pt1 Pt 0.0000 0.5000 0.1970 1
Pt2 Pt 0.3333 0.6667 0.5000 1
```

Most intense lines, 10° ≤ 2θ ≤ 90°, in order of falling intensity:
d_spacing  intensity  h k l
2.254  100  1 1 2
2.417  76  2 0 0
2.043  38  2 0 2
2.549  33  0 0 3
1.485  33  3 0 2
1.395  30  2 2 0
2.621  29  1 1 1
2.999  29  1 0 2
2.304  26  2 0 1
1.292  24  2 0 5

Eu2B4Rh5: theoretical X-ray diffraction stick pattern (Cu Kα (weighted mean of Kα1 and Kα2)), based on a crystal structure in the Materials Project, relaxed with PBE.

Atomic structure:
```
data_Eu2B4Rh5
_chemical_formula_sum 'Eu8 B16 Rh20'
_cell_length_a 5.5404
_cell_length_b 10.0066
_cell_length_c 11.3159
_cell_angle_alpha 90.00
_cell_angle_beta 90.00
_cell_angle_gamma 90.00
_symmetry_space_group_name_H-M 'F m m m'
_symmetry_Int_Tables_number 69
_symmetry_space_group_name_Hall '-F 2 2'
loop_
_atom_site_label
_atom_site_type_symbol
_atom_site_fract_x
_atom_site_fract_y
_atom_site_fract_z
_atom_site_occupancy
Eu1 Eu 0.0000 0.0000 0.1435 1
B1 B 0.0000 0.1617 0.3705 1
Rh1 Rh 0.0000 0.0000 0.5000 1
Rh2 Rh 0.2500 0.2500 0.0000 1
Rh3 Rh 0.2500 0.2500 0.2500 1
```

Most intense lines, 10° ≤ 2θ ≤ 90°, in order of falling intensity:
d_spacing  intensity  h k l
2.424  100  2 2 0
2.977  71  1 1 3
2.502  54  0 4 0
2.463  52  0 2 4
2.278  41  1 3 3
1.979  31  2 0 4
1.552  24  2 4 4
1.429  21  2 6 0
1.222  16  2 2 8
1.684  14  1 5 3

EuB2Rh3: theoretical X-ray diffraction stick pattern (Cu Kα (weighted mean of Kα1 and Kα2)), based on a crystal structure in the Materials Project, relaxed with PBE.

Atomic structure:
```
data_EuB2Rh3
_chemical_formula_sum 'Eu1 B2 Rh3'
_cell_length_a 5.6711
_cell_length_b 5.6711
_cell_length_c 2.9642
_cell_angle_alpha 90.00
_cell_angle_beta 90.00
_cell_angle_gamma 120.00
_symmetry_space_group_name_H-M 'P 6/m m m'
_symmetry_Int_Tables_number 191
_symmetry_space_group_name_Hall '-P 6 2'
loop_
_atom_site_label
_atom_site_type_symbol
_atom_site_fract_x
_atom_site_fract_y
_atom_site_fract_z
_atom_site_occupancy
Eu1 Eu 0.0000 0.0000 0.0000 1
B1 B 0.3333 0.6667 0.0000 1
Rh1 Rh 0.0000 0.5000 0.5000 1
```

Most intense lines, 10° ≤ 2θ ≤ 90°, in order of falling intensity:
d_spacing  intensity  h k l
2.456  100  2 0 0
2.538  65  1 0 1
2.049  41  1 1 1
1.573  30  2 1 1
1.269  24  2 0 2
1.418  19  2 2 0
1.238  13  3 1 1
1.433  13  3 0 1
1.891  12  2 0 1
1.228  11  4 0 0

EuB4Ru: theoretical X-ray diffraction stick pattern (Cu Kα (weighted mean of Kα1 and Kα2)), based on a crystal structure in the Materials Project, relaxed with PBE.

Atomic structure:
```
data_EuB4Ru
_chemical_formula_sum 'Eu4 B16 Ru4'
_cell_length_a 6.0389
_cell_length_b 11.6911
_cell_length_c 3.5891
_cell_angle_alpha 90.00
_cell_angle_beta 90.00
_cell_angle_gamma 90.00
_symmetry_space_group_name_H-M 'P b a m'
_symmetry_Int_Tables_number 55
_symmetry_space_group_name_Hall '-P 2 2ab'
loop_
_atom_site_label
_atom_site_type_symbol
_atom_site_fract_x
_atom_site_fract_y
_atom_site_fract_z
_atom_site_occupancy
Eu1 Eu 0.1279 0.1504 0.0000 1
B1 B 0.0240 0.6904 0.5000 1
B2 B 0.1114 0.5462 0.5000 1
B3 B 0.1380 0.9687 0.5000 1
B4 B 0.2155 0.8158 0.5000 1
Ru1 Ru 0.1354 0.4112 0.0000 1
```

Most intense lines, 10° ≤ 2θ ≤ 90°, in order of falling intensity:
d_spacing  intensity  h k l
2.267  100  0 4 1
2.923  83  0 4 0
3.589  77  0 0 1
1.987  30  2 3 1
2.122  27  1 4 1
1.529  24  0 4 2
2.419  22  1 3 1
2.387  21  2 3 0
2.631  20  1 4 0
3.274  19  1 3 0

SmEuB12: theoretical X-ray diffraction stick pattern (Cu Kα (weighted mean of Kα1 and Kα2)), based on a crystal structure in the Materials Project, relaxed with PBE.

Atomic structure:
```
data_SmEuB12
_chemical_formula_sum 'Sm4 Eu4 B48'
_cell_length_a 8.2756
_cell_length_b 8.2756
_cell_length_c 8.2756
_cell_angle_alpha 90.00
_cell_angle_beta 90.00
_cell_angle_gamma 90.00
_symmetry_space_group_name_H-M 'F m -3 m'
_symmetry_Int_Tables_number 225
_symmetry_space_group_name_Hall '-F 4 2 3'
loop_
_atom_site_label
_atom_site_type_symbol
_atom_site_fract_x
_atom_site_fract_y
_atom_site_fract_z
_atom_site_occupancy
Sm1 Sm 0.0000 0.0000 0.0000 1
Eu1 Eu 0.0000 0.0000 0.5000 1
B1 B 0.1001 0.2500 0.2500 1
```

Most intense lines, 10° ≤ 2θ ≤ 90°, in order of falling intensity:
d_spacing  intensity  h k l
2.926  100  2 2 0
4.138  66  2 0 0
1.850  50  4 2 0
2.389  42  2 2 2
1.379  28  4 4 2
1.689  28  4 2 2
2.069  21  4 0 0
1.308  20  6 2 0
1.106  18  6 4 2
1.248  13  6 2 2

BF3: theoretical X-ray diffraction stick pattern (Cu Kα (weighted mean of Kα1 and Kα2)), based on a crystal structure in the Materials Project, relaxed with PBE.

Atomic structure:
```
data_BF3
_chemical_formula_sum 'B8 F24'
_cell_length_a 4.8455
_cell_length_b 14.2717
_cell_length_c 7.5276
_cell_angle_alpha 90.00
_cell_angle_beta 107.56
_cell_angle_gamma 90.00
_symmetry_space_group_name_H-M 'P 1 21/c 1'
_symmetry_Int_Tables_number 14
_symmetry_space_group_name_Hall '-P 2ybc'
loop_
_atom_site_label
_atom_site_type_symbol
_atom_site_fract_x
_atom_site_fract_y
_atom_site_fract_z
_atom_site_occupancy
B1 B 0.0237 0.1161 0.2789 1
B2 B 0.3632 0.6358 0.7334 1
F1 F 0.0399 0.1282 0.1068 1
F2 F 0.2049 0.5750 0.1937 1
F3 F 0.2393 0.1463 0.4231 1
F4 F 0.2494 0.7159 0.7698 1
F5 F 0.2666 0.5551 0.7801 1
F6 F 0.4291 0.1370 0.8472 1
```

Most intense lines, 10° ≤ 2θ ≤ 90°, in order of falling intensity:
d_spacing  intensity  h k l
3.843  100  1 2 -1
3.568  71  0 4 0
3.588  68  0 0 2
2.428  54  1 5 0
3.099  51  1 2 1
2.456  50  1 1 2
2.177  28  1 5 -2
2.313  24  1 2 -3
2.268  17  0 2 3
2.280  17  2 0 -2